The following is a calculated X-ray powder pattern of CsCeIBr2. It was derived from a DFT-relaxed cell (PBE, Alexandria), using a wavelength of 1.5418 Å.
No peak broadening, texture or thermal motion is included.

Most intense lines, 10 to 80 degrees two-theta, in order of falling intensity:
Position (°2θ)  I_rel
30.79  1000
27.77  930
21.64  881
41.94  849
25.75  750
35.48  496
57.83  486
37.34  457
49.64  385
25.22  379

Crystal structure
Cell: 8.660 8.660 8.660 Å, 123.38 123.38 84.23°
Positions (direct):
Cs1 0.250 0.750 0.500
Cs2 0.750 0.250 0.500
Ce1 0.000 0.000 0.000
Ce2 0.500 0.500 0.000
I1 0.250 0.250 0.000
I2 0.750 0.750 0.000
Br1 0.184 0.684 0.868
Br2 0.316 0.184 0.500
Br3 0.684 0.816 0.500
Br4 0.816 0.316 0.132